For CsNbSe3, a cell relaxed with PBE gives the calculated PXRD pattern in this record (a wavelength of 1.5418 Å).
Peak positions follow from Bragg's law for the DFT cell and can differ from measured ones.

Atomic structure:
Unit cell a=14.997 b=14.554 c=6.334 alpha=90.00 beta=92.98 gamma=90.00
Space group C2/c (No. 15)
One atom of each set of equivalent atoms:
Cs 0.189 0.092 0.106 [8 per cell]
Nb 0.000 0.276 0.750 [4 per cell]
Nb 0.000 0.425 0.250 [4 per cell]
Se 0.098 0.432 0.596 [8 per cell]
Se 0.103 0.174 0.593 [8 per cell]
Se 0.105 0.315 0.087 [8 per cell]

Largest 6 diffraction maxima, in order of falling intensity, 2θ = 5–70°:
hkl 2 4 -1, 2θ = 30.47°, d 2.934, rel. 100; hkl 1 1 0, 2θ = 8.47°, d 10.437, rel. 72; hkl 2 0 2, 2θ = 31.27°, d 2.861, rel. 61; hkl 3 1 0, 2θ = 18.79°, d 4.722, rel. 50; hkl 1 3 1, 2θ = 24.06°, d 3.699, rel. 44; hkl 0 4 3, 2θ = 49.99°, d 1.824, rel. 34